# AcCd8Hg6
Theoretical PXRD pattern, Cu Kα (λ = 1.5418 Å). Input: DFT lattice parameters and positions (GGA-PBE).

Cell and atoms:
```
data_AcCd8Hg6
_chemical_formula_sum 'Ac1 Cd8 Hg6'
_cell_length_a 9.3873
_cell_length_b 9.3873
_cell_length_c 9.3873
_cell_angle_alpha 45.49
_cell_angle_beta 45.49
_cell_angle_gamma 45.49
_space_group_name_H-M_alt 'P 1'
_space_group_IT_number 1
loop_
_space_group_symop_operation_xyz
'x,y,z'
loop_
_atom_site_label
_atom_site_fract_x
_atom_site_fract_y
_atom_site_fract_z
_atom_site_occupancy
Ac1 0.0000 0.0000 0.0000 1
Cd1 0.1410 0.8145 0.6426 1
Cd2 0.1855 0.3574 0.8590 1
Cd3 0.3567 0.3567 0.3567 1
Cd4 0.3574 0.8590 0.1855 1
Cd5 0.6426 0.1410 0.8145 1
Cd6 0.6433 0.6433 0.6433 1
Cd7 0.8145 0.6426 0.1410 1
Cd8 0.8590 0.1855 0.3574 1
Hg1 0.0071 0.7009 0.5106 1
Hg2 0.2991 0.4894 0.9929 1
Hg3 0.4894 0.9929 0.2991 1
Hg4 0.5106 0.0071 0.7009 1
Hg5 0.7009 0.5106 0.0071 1
Hg6 0.9929 0.2991 0.4894 1
```

The 10 most intense peaks (15 to 90 degrees two-theta), sorted by position:
Position (°2θ)	d (Å)	I/Imax
26.8	3.332	78.4
28.6	3.121	31.9
31.8	2.816	46.8
32.6	2.746	77.9
38.0	2.366	100.0
38.5	2.335	43.3
40.7	2.217	58.6
42.0	2.150	27.1
60.7	1.526	22.9
72.0	1.312	21.9